Diffraction record for TbInB4. The X-ray diffraction stick pattern is simulated, not measured: it uses a DFT-relaxed cell (GGA-PBE, OQMD) and Cu Kα (λ = 1.5418 Å).
Neutral-atom scattering factors, no anomalous dispersion.

Atomic structure:
```
data_TbInB4
_cell_length_a 3.2297
_cell_length_b 5.3380
_cell_length_c 8.2229
_cell_angle_alpha 90.00
_cell_angle_beta 90.00
_cell_angle_gamma 90.00
_space_group_name_H-M_alt 'I m m m'
_space_group_IT_number 71
_space_group_name_Hall '-I 2 2'
loop_
_atom_site_label
_atom_site_type_symbol
_atom_site_fract_x
_atom_site_fract_y
_atom_site_fract_z
_atom_site_occupancy
Tb1 Tb 0.0000 0.0000 0.0000 1
In1 In 0.0000 0.0000 0.5000 1
B1 B 0.0000 0.3269 0.2607 1
```

Main lines, sorted by position (10 to 90 degrees two-theta):
Position (°2θ)  d (Å)  I/Imax
21.61  4.111  78
32.40  2.763  68
33.58  2.669  30
39.28  2.293  100
40.29  2.239  48
44.05  2.056  20
55.73  1.649  30
59.30  1.558  16
63.88  1.457  17
72.12  1.310  16